[1]
# YMg
Computed X-ray powder pattern, Cu Kα. Input: a crystal structure in the Materials Project, relaxed with GGA-PBE.
Kinematic intensities with the Lorentz-polarization factor, no thermal factor.

Crystal structure
Cell lengths 3.764, 5.503, 5.538 Å; angles 90.00, 90.00, 90.00 degrees
Fractional positions:
Y 0.250 0.250 0.088
Y 0.750 0.750 0.912
Mg 0.250 0.750 0.417
Mg 0.750 0.250 0.583

Main lines, by intensity (10° ≤ 2θ ≤ 90°):
- d = 2.710 Å, 33.06°, I 100
- d = 3.110 Å, 28.71°, I 58
- d = 5.538 Å, 16.00°, I 46
- d = 2.474 Å, 36.32°, I 41
- d = 2.752 Å, 32.54°, I 36
- d = 1.497 Å, 61.98°, I 21
- d = 1.580 Å, 58.39°, I 19
- d = 1.420 Å, 65.78°, I 17
- d = 2.062 Å, 43.92°, I 16
- d = 3.904 Å, 22.78°, I 16

***

[2]
# LiAgF2
Computed X-ray powder pattern, Cu Kα. Input: a crystal structure in the Materials Project, relaxed with GGA-PBE.
Kinematic intensities with the Lorentz-polarization factor, no thermal factor.

Crystal structure
Cell lengths 5.162, 5.162, 8.520 Å; angles 90.00, 90.00, 90.00 degrees
Fractional positions:
Li 0.000 0.000 0.000
Li 0.000 0.500 0.250
Li 0.500 0.000 0.750
Li 0.500 0.500 0.500
Ag 0.000 0.000 0.500
Ag 0.000 0.500 0.750
Ag 0.500 0.000 0.250
Ag 0.500 0.500 0.000
F 0.169 0.750 0.125
F 0.250 0.169 0.875
F 0.250 0.331 0.375
F 0.331 0.750 0.625
F 0.669 0.250 0.625
F 0.750 0.669 0.375
F 0.750 0.831 0.875
F 0.831 0.250 0.125

Main lines, by intensity (10° ≤ 2θ ≤ 90°):
- d = 2.772 Å, 32.30°, I 100
- d = 4.415 Å, 20.11°, I 93
- d = 2.228 Å, 40.48°, I 53
- d = 2.488 Å, 36.10°, I 36
- d = 1.524 Å, 60.76°, I 28
- d = 1.643 Å, 55.97°, I 27
- d = 2.581 Å, 34.76°, I 21
- d = 1.825 Å, 49.97°, I 17
- d = 1.791 Å, 50.98°, I 16
- d = 1.687 Å, 54.39°, I 12

***

[3]
# Ac2ZnAu
Computed X-ray powder pattern, Cu Kα. Input: a crystal structure in the Materials Project, relaxed with GGA-PBE.
Kinematic intensities with the Lorentz-polarization factor, no thermal factor.

Crystal structure
Cell lengths 7.838, 7.838, 7.838 Å; angles 90.00, 90.00, 90.00 degrees
Fractional positions:
Ac 0.250 0.250 0.250
Ac 0.250 0.250 0.750
Ac 0.250 0.750 0.250
Ac 0.250 0.750 0.750
Ac 0.750 0.250 0.250
Ac 0.750 0.250 0.750
Ac 0.750 0.750 0.250
Ac 0.750 0.750 0.750
Zn 0.000 0.000 0.000
Zn 0.000 0.500 0.500
Zn 0.500 0.000 0.500
Zn 0.500 0.500 0.000
Au 0.000 0.000 0.500
Au 0.000 0.500 0.000
Au 0.500 0.000 0.000
Au 0.500 0.500 0.500

Main lines, by intensity (10° ≤ 2θ ≤ 90°):
- d = 2.771 Å, 32.31°, I 100
- d = 1.600 Å, 57.61°, I 39
- d = 1.959 Å, 46.34°, I 19
- d = 1.239 Å, 76.94°, I 17
- d = 1.386 Å, 67.61°, I 12
- d = 4.525 Å, 19.62°, I 7
- d = 3.919 Å, 22.69°, I 7
- d = 1.131 Å, 85.91°, I 4
- d = 2.363 Å, 38.08°, I 4
- d = 1.753 Å, 52.19°, I 3

***

[4]
# LiLu2Tc
Computed X-ray powder pattern, Cu Kα. Input: a crystal structure in the Materials Project, relaxed with GGA-PBE.
Kinematic intensities with the Lorentz-polarization factor, no thermal factor.

Crystal structure
Cell lengths 6.868, 6.868, 6.868 Å; angles 90.00, 90.00, 90.00 degrees
Fractional positions:
Li 0.000 0.000 0.000
Li 0.000 0.500 0.500
Li 0.500 0.000 0.500
Li 0.500 0.500 0.000
Lu 0.250 0.250 0.250
Lu 0.250 0.250 0.750
Lu 0.250 0.750 0.250
Lu 0.250 0.750 0.750
Lu 0.750 0.250 0.250
Lu 0.750 0.250 0.750
Lu 0.750 0.750 0.250
Lu 0.750 0.750 0.750
Tc 0.000 0.000 0.500
Tc 0.000 0.500 0.000
Tc 0.500 0.000 0.000
Tc 0.500 0.500 0.500

Main lines, by intensity (10° ≤ 2θ ≤ 90°):
- d = 2.428 Å, 37.02°, I 100
- d = 1.402 Å, 66.72°, I 36
- d = 3.434 Å, 25.95°, I 35
- d = 1.717 Å, 53.36°, I 18
- d = 1.536 Å, 60.26°, I 14
- d = 1.214 Å, 78.83°, I 11
- d = 3.965 Å, 22.42°, I 11
- d = 1.983 Å, 45.76°, I 11
- d = 1.145 Å, 84.67°, I 7
- d = 2.071 Å, 43.71°, I 6

***

[5]
# Al13Os4
Computed X-ray powder pattern, Cu Kα. Input: a crystal structure in the Materials Project, relaxed with GGA-PBE.
Kinematic intensities with the Lorentz-polarization factor, no thermal factor.

Crystal structure
Cell lengths 9.106, 9.106, 7.818 Å; angles 115.06, 115.06, 26.94 degrees
Fractional positions:
Al 0.000 0.000 0.000
Al 0.088 0.088 0.367
Al 0.088 0.088 0.801
Al 0.241 0.241 0.385
Al 0.292 0.292 0.085
Al 0.370 0.370 0.844
Al 0.415 0.415 0.431
Al 0.585 0.585 0.569
Al 0.630 0.630 0.156
Al 0.708 0.708 0.915
Al 0.759 0.759 0.615
Al 0.912 0.912 0.199
Al 0.912 0.912 0.633
Os 0.206 0.206 0.708
Os 0.492 0.492 0.196
Os 0.508 0.508 0.804
Os 0.794 0.794 0.292

Main lines, by intensity (10° ≤ 2θ ≤ 90°):
- d = 2.141 Å, 42.21°, I 100
- d = 2.130 Å, 42.44°, I 76
- d = 3.315 Å, 26.90°, I 74
- d = 3.728 Å, 23.87°, I 59
- d = 3.519 Å, 25.31°, I 49
- d = 3.985 Å, 22.31°, I 46
- d = 4.408 Å, 20.14°, I 43
- d = 2.121 Å, 42.63°, I 43
- d = 3.501 Å, 25.44°, I 42
- d = 2.136 Å, 42.32°, I 33

***

[6]
# Sr3Ca
Computed X-ray powder pattern, Cu Kα. Input: a crystal structure in the Materials Project, relaxed with GGA-PBE.
Kinematic intensities with the Lorentz-polarization factor, no thermal factor.

Crystal structure
Cell lengths 9.256, 9.256, 9.256 Å; angles 90.00, 90.00, 90.00 degrees
Fractional positions:
Sr 0.000 0.000 0.000
Sr 0.000 0.500 0.500
Sr 0.250 0.250 0.250
Sr 0.250 0.250 0.750
Sr 0.250 0.750 0.250
Sr 0.250 0.750 0.750
Sr 0.500 0.000 0.500
Sr 0.500 0.500 0.000
Sr 0.750 0.250 0.250
Sr 0.750 0.250 0.750
Sr 0.750 0.750 0.250
Sr 0.750 0.750 0.750
Ca 0.000 0.000 0.500
Ca 0.000 0.500 0.000
Ca 0.500 0.000 0.000
Ca 0.500 0.500 0.500

Main lines, by intensity (10° ≤ 2θ ≤ 90°):
- d = 3.272 Å, 27.25°, I 100
- d = 1.889 Å, 48.16°, I 41
- d = 1.237 Å, 77.11°, I 20
- d = 2.314 Å, 38.92°, I 19
- d = 1.463 Å, 63.57°, I 17
- d = 1.636 Å, 56.22°, I 13
- d = 1.091 Å, 89.94°, I 10
- d = 5.344 Å, 16.59°, I 4
- d = 1.336 Å, 70.49°, I 4
- d = 2.791 Å, 32.07°, I 3